(1)
The following is a theoretical powder XRD pattern of FeMoClO4. It was derived from the PBE+U geometry in the Materials Project, using Cu Kα, 1.54184 Å.
Lines closer than 0.1° are merged.

The 10 most intense peaks (2θ = 10–80°), low angle first:
- 2θ 15.8, I 43
- 2θ 20.5, I 25
- 2θ 24.4, I 100
- 2θ 26.3, I 96
- 2θ 30.8, I 18
- 2θ 37.0, I 51
- 2θ 37.5, I 17
- 2θ 45.2, I 30
- 2θ 53.7, I 40
- 2θ 54.1, I 17

```
FeMoClO4
1.0
6.7843 0.0000 0.0000
0.0000 6.7843 0.0000
0.0000 0.0000 5.6261
Fe Mo Cl O
2 2 2 8
direct
0.2500 0.2500 0.2325
0.7500 0.7500 0.7675
0.2500 0.7500 0.5000
0.7500 0.2500 0.5000
0.2500 0.2500 0.8355
0.7500 0.7500 0.1645
0.0349 0.7500 0.6852
0.2500 0.5349 0.3148
0.2500 0.9651 0.3148
0.4651 0.7500 0.6852
0.5349 0.2500 0.3148
0.7500 0.0349 0.6852
0.7500 0.4651 0.6852
0.9651 0.2500 0.3148
```

(2)
The following is a theoretical powder XRD pattern of FeMoClO4. It was derived from the PBE+U geometry in the Materials Project, using Cu Kα, 1.54184 Å.
Lines closer than 0.1° are merged.

The 10 most intense peaks (2θ = 10–80°), low angle first:
- 2θ 15.8, I 44
- 2θ 20.6, I 13
- 2θ 24.2, I 50
- 2θ 24.6, I 53
- 2θ 26.3, I 100
- 2θ 36.9, I 28
- 2θ 37.5, I 42
- 2θ 53.6, I 11
- 2θ 54.1, I 28
- 2θ 61.1, I 14

```
FeMoClO4
1.0
5.6022 0.0000 0.0000
0.0000 6.7839 0.0000
-0.1619 0.0000 6.7777
Fe Mo Cl O
2 2 2 8
direct
0.2321 0.2500 0.2406
0.7679 0.7500 0.7594
0.5001 0.2500 0.7498
0.4999 0.7500 0.2502
0.1664 0.7500 0.7531
0.8336 0.2500 0.2469
0.3042 0.2500 0.9554
0.3140 0.5349 0.2408
0.3140 0.9651 0.2408
0.3246 0.2500 0.5255
0.6754 0.7500 0.4745
0.6860 0.0349 0.7592
0.6860 0.4651 0.7592
0.6958 0.7500 0.0446
```

(3)
The following is a theoretical powder XRD pattern of FeMoClO4. It was derived from the PBE+U geometry in the Materials Project, using Cu Kα, 1.54184 Å.
Lines closer than 0.1° are merged.

The 10 most intense peaks (2θ = 10–80°), low angle first:
- 2θ 16.0, I 45
- 2θ 20.7, I 27
- 2θ 24.6, I 97
- 2θ 26.4, I 100
- 2θ 31.0, I 20
- 2θ 37.5, I 52
- 2θ 37.7, I 17
- 2θ 45.5, I 29
- 2θ 54.2, I 41
- 2θ 54.4, I 18

```
FeMoClO4
1.0
4.7763 -4.7707 0.0000
4.7763 4.7707 0.0000
-0.0037 0.0000 5.5417
Fe Mo Cl O
2 2 2 8
direct
0.0000 0.0000 0.0000
0.5012 0.5012 0.5149
0.0006 0.4999 0.2725
0.4999 0.0006 0.2725
0.9999 0.9999 0.5974
0.4994 0.4994 0.9231
0.0000 0.2857 0.0818
0.9999 0.7146 0.0823
0.2178 0.4994 0.4586
0.2857 0.0000 0.0818
0.4994 0.2178 0.4586
0.4997 0.7828 0.4595
0.7146 0.9999 0.0823
0.7828 0.4997 0.4595
```

(4)
The following is a theoretical powder XRD pattern of RbNa2Fe3P4ClO14. It was derived from the PBE+U geometry in the Materials Project, using Cu Kα, 1.54184 Å.
Lines closer than 0.1° are merged.

The 10 most intense peaks (2θ = 10–80°), low angle first:
- 2θ 24.3, I 50
- 2θ 27.2, I 38
- 2θ 29.0, I 70
- 2θ 29.5, I 34
- 2θ 29.7, I 40
- 2θ 30.3, I 98
- 2θ 30.8, I 100
- 2θ 34.1, I 69
- 2θ 38.9, I 34
- 2θ 43.4, I 31

```
RbNa2Fe3P4ClO14
1.0
10.5608 -2.6299 0.0000
10.5608 2.6299 0.0000
-6.7021 0.0000 12.1786
Rb Na Fe P Cl O
2 4 6 8 2 28
direct
0.0000 0.0000 0.0000
0.0000 0.0000 0.5000
0.1901 0.2521 0.1510
0.2521 0.1901 0.6510
0.7479 0.8099 0.3490
0.8099 0.7479 0.8490
0.1435 0.1642 0.8423
0.1642 0.1435 0.3423
0.4395 0.5605 0.2500
0.5605 0.4395 0.7500
0.8358 0.8565 0.6577
0.8565 0.8358 0.1577
0.3210 0.3628 0.5073
0.3628 0.3210 0.0073
0.3716 0.3924 0.3276
0.3924 0.3716 0.8276
0.6076 0.6284 0.1724
0.6284 0.6076 0.6724
0.6372 0.6790 0.9927
0.6790 0.6372 0.4927
0.0390 0.9610 0.7500
0.9610 0.0390 0.2500
0.0350 0.6546 0.5261
0.0741 0.6179 0.2899
0.1286 0.5401 0.7541
0.1883 0.3465 0.9262
0.2484 0.5124 0.1147
0.3454 0.9650 0.9739
0.3465 0.1883 0.4262
0.3529 0.4323 0.9502
0.3821 0.9259 0.2101
0.4323 0.3529 0.4502
0.4549 0.4663 0.3521
0.4599 0.8714 0.7459
0.4663 0.4549 0.8521
0.4876 0.7516 0.3853
0.5124 0.2484 0.6147
0.5337 0.5451 0.1479
0.5401 0.1286 0.2541
0.5451 0.5337 0.6479
0.5677 0.6471 0.5498
0.6179 0.0741 0.7899
0.6471 0.5677 0.0498
0.6535 0.8117 0.5738
0.6546 0.0350 0.0261
0.7516 0.4876 0.8853
0.8117 0.6535 0.0738
0.8714 0.4599 0.2459
0.9259 0.3821 0.7101
0.9650 0.3454 0.4739
```

(5)
The following is a theoretical powder XRD pattern of Fe2ClO3. It was derived from the PBE+U geometry in the Materials Project, using Cu Kα, 1.54184 Å.
Lines closer than 0.1° are merged.

The 10 most intense peaks (2θ = 10–80°), low angle first:
- 2θ 17.0, I 100
- 2θ 19.0, I 15
- 2θ 32.4, I 19
- 2θ 33.6, I 62
- 2θ 41.1, I 75
- 2θ 48.3, I 12
- 2θ 52.5, I 18
- 2θ 56.6, I 27
- 2θ 62.5, I 12
- 2θ 63.9, I 15

```
Fe2ClO3
1.0
3.2527 1.8780 4.6649
-3.2527 1.8780 4.6649
0.0000 -3.7559 4.6649
Fe Cl O
4 2 6
direct
0.0000 0.0000 0.0000
0.0000 0.0000 0.5000
0.0000 0.5000 0.0000
0.5000 0.0000 0.0000
0.2860 0.2860 0.2860
0.7140 0.7140 0.7140
0.1691 0.7693 0.7693
0.2307 0.2307 0.8309
0.2307 0.8309 0.2307
0.7693 0.1691 0.7693
0.7693 0.7693 0.1691
0.8309 0.2307 0.2307
```

(6)
The following is a theoretical powder XRD pattern of Fe6ClO12. It was derived from the PBE+U geometry in the Materials Project, using Cu Kα, 1.54184 Å.
Lines closer than 0.1° are merged.

The 10 most intense peaks (2θ = 10–80°), low angle first:
- 2θ 12.0, I 71
- 2θ 17.0, I 61
- 2θ 27.1, I 100
- 2θ 34.5, I 21
- 2θ 36.3, I 68
- 2θ 40.3, I 19
- 2θ 47.6, I 38
- 2θ 52.8, I 21
- 2θ 57.1, I 49
- 2θ 65.7, I 32

```
Fe6ClO12
1.0
-5.2019 5.2019 4.3886
5.2019 -5.2019 4.3886
5.2019 5.2019 -4.3886
Fe Cl O
12 2 24
direct
0.0023 0.8172 0.4844
0.1475 0.6683 0.8158
0.1828 0.6672 0.1851
0.3317 0.1475 0.4792
0.3328 0.5178 0.5156
0.4822 0.9977 0.8149
0.5178 0.0023 0.1851
0.6672 0.4822 0.4844
0.6683 0.8525 0.5208
0.8172 0.3328 0.8149
0.8525 0.3317 0.1842
0.9977 0.1828 0.5156
0.3881 0.3881 0.0000
0.6119 0.6119 0.0000
0.0032 0.6200 0.2925
0.0173 0.3826 0.0643
0.0448 0.3345 0.3793
0.0470 0.9828 0.3653
0.2817 0.3460 0.6277
0.2893 0.9968 0.6167
0.3183 0.9530 0.9357
0.3274 0.7107 0.7075
0.3345 0.9552 0.2897
0.3460 0.7183 0.0644
0.3800 0.6726 0.3833
0.3826 0.3183 0.3653
0.6174 0.6817 0.6347
0.6200 0.3274 0.6167
0.6540 0.2817 0.9356
0.6655 0.0448 0.7103
0.6726 0.2893 0.2925
0.6817 0.0470 0.0643
0.7107 0.0032 0.3833
0.7183 0.6540 0.3723
0.9530 0.0173 0.6347
0.9552 0.6655 0.6207
0.9828 0.6174 0.9357
0.9968 0.3800 0.7075
```

(7)
The following is a theoretical powder XRD pattern of Fe3Pb4ClO8. It was derived from the PBE+U geometry in the Materials Project, using Cu Kα, 1.54184 Å.
Lines closer than 0.1° are merged.

The 10 most intense peaks (2θ = 10–80°), low angle first:
- 2θ 22.4, I 40
- 2θ 22.8, I 17
- 2θ 31.8, I 50
- 2θ 32.2, I 100
- 2θ 39.5, I 29
- 2θ 45.6, I 27
- 2θ 51.4, I 10
- 2θ 56.9, I 40
- 2θ 57.5, I 18
- 2θ 67.3, I 12

```
Fe3Pb4ClO8
1.0
3.9764 0.0000 0.0000
0.0000 3.9764 0.0000
0.0000 0.0000 15.5940
Fe Pb Cl O
3 4 1 8
direct
0.0000 0.0000 0.0000
0.0000 0.0000 0.2535
0.0000 0.0000 0.7465
0.5000 0.5000 0.1126
0.5000 0.5000 0.3808
0.5000 0.5000 0.6192
0.5000 0.5000 0.8874
0.0000 0.0000 0.5000
0.0000 0.0000 0.1322
0.0000 0.0000 0.8678
0.0000 0.5000 0.0000
0.0000 0.5000 0.2867
0.0000 0.5000 0.7133
0.5000 0.0000 0.0000
0.5000 0.0000 0.2867
0.5000 0.0000 0.7133
```

(8)
The following is a theoretical powder XRD pattern of FePb2Cl3O5. It was derived from the PBE+U geometry in the Materials Project, using Cu Kα, 1.54184 Å.
Lines closer than 0.1° are merged.

The 10 most intense peaks (2θ = 10–80°), low angle first:
- 2θ 17.3, I 100
- 2θ 19.0, I 22
- 2θ 29.2, I 13
- 2θ 30.9, I 35
- 2θ 31.5, I 23
- 2θ 32.2, I 20
- 2θ 35.1, I 12
- 2θ 38.5, I 14
- 2θ 39.3, I 25
- 2θ 42.4, I 12

```
FePb2Cl3O5
1.0
6.9304 0.0000 0.0000
0.0000 6.1094 0.0000
-3.0986 0.0000 9.3510
Fe Pb Cl O
2 4 6 10
direct
0.0034 0.0000 0.9998
0.9966 0.5000 0.0002
0.0817 0.2547 0.7211
0.3938 0.7464 0.2300
0.6062 0.2464 0.7700
0.9183 0.7547 0.2789
0.0786 0.1828 0.4697
0.3890 0.7121 0.4798
0.3915 0.9222 0.8085
0.6085 0.4222 0.1915
0.6110 0.2121 0.5202
0.9214 0.6828 0.5303
0.1086 0.5151 0.2040
0.1238 0.9820 0.2043
0.1660 0.2515 0.9883
0.1826 0.7442 0.9928
0.3544 0.4419 0.7734
0.6456 0.9419 0.2266
0.8174 0.2442 0.0072
0.8340 0.7515 0.0117
0.8762 0.4820 0.7957
0.8914 0.0151 0.7960
```

What did the first record say?
The following is a theoretical powder XRD pattern of FeMoClO4. It was derived from the PBE+U geometry in the Materials Project, using Cu Kα, 1.54184 Å.
Lines closer than 0.1° are merged.

The 10 most intense peaks (2θ = 10–80°), low angle first:
- 2θ 15.8, I 43
- 2θ 20.5, I 25
- 2θ 24.4, I 100
- 2θ 26.3, I 96
- 2θ 30.8, I 18
- 2θ 37.0, I 51
- 2θ 37.5, I 17
- 2θ 45.2, I 30
- 2θ 53.7, I 40
- 2θ 54.1, I 17

```
FeMoClO4
1.0
6.7843 0.0000 0.0000
0.0000 6.7843 0.0000
0.0000 0.0000 5.6261
Fe Mo Cl O
2 2 2 8
direct
0.2500 0.2500 0.2325
0.7500 0.7500 0.7675
0.2500 0.7500 0.5000
0.7500 0.2500 0.5000
0.2500 0.2500 0.8355
0.7500 0.7500 0.1645
0.0349 0.7500 0.6852
0.2500 0.5349 0.3148
0.2500 0.9651 0.3148
0.4651 0.7500 0.6852
0.5349 0.2500 0.3148
0.7500 0.0349 0.6852
0.7500 0.4651 0.6852
0.9651 0.2500 0.3148
```

Q: Number 1 is which compound?
A: FeMoClO4